This entry pairs a crystal structure of MgAl6FeSi2B2O18 with its simulated X-ray diffraction stick pattern. Radiation: CuKα. Structure: a structure optimized by DFT (PBE+U).
No peak broadening, texture or thermal motion is included.

Peak list (10 most intense, 10 to 90 degrees two-theta, by intensity)
2θ = 17.42°, I 100
2θ = 16.98°, I 81
2θ = 32.06°, I 54
2θ = 15.87°, I 51
2θ = 23.65°, I 39
2θ = 41.19°, I 26
2θ = 34.02°, I 24
2θ = 62.11°, I 22
2θ = 34.72°, I 21
2θ = 29.89°, I 21

Structure:
Cell lengths 5.8295, 10.4440, 11.1675 Å; angles 90.00, 90.00, 90.00 degrees
Atoms (fractional coordinates):
Mg: 0.0000 0.1572 0.0000
Mg: 0.0000 0.8428 0.5000
Al: 0.0000 0.0233 0.2287
Al: 0.0000 0.9767 0.7287
Al: 0.2500 0.2501 0.2800
Al: 0.2501 0.2501 0.7817
Al: 0.2501 0.7499 0.2817
Al: 0.2500 0.7499 0.7800
Al: 0.5000 0.4764 0.3330
Al: 0.5000 0.5236 0.8330
Al: 0.7500 0.2501 0.2800
Al: 0.7499 0.2501 0.7817
Al: 0.7499 0.7499 0.2817
Al: 0.7500 0.7499 0.7800
Fe: 0.5000 0.3431 0.5624
Fe: 0.5000 0.6569 0.0624
Si: 0.0000 0.1834 0.5439
Si: 0.0000 0.8166 0.0439
Si: 0.5000 0.3145 0.0165
Si: 0.5000 0.6855 0.5165
B: 0.0000 0.4990 0.2806
B: 0.0000 0.5010 0.7806
B: 0.5000 0.0011 0.2809
B: 0.5000 0.9989 0.7809
O: 0.0000 0.0253 0.5696
O: 0.0000 0.1316 0.8029
O: 0.0000 0.2025 0.1815
O: 0.0000 0.2237 0.4014
O: 0.0000 0.3715 0.7844
O: 0.0000 0.6285 0.2844
O: 0.0000 0.7763 0.9014
O: 0.0000 0.7975 0.6815
O: 0.0000 0.8684 0.3029
O: 0.0000 0.9747 0.0696
O: 0.2041 0.4308 0.2798
O: 0.2041 0.5692 0.7798
O: 0.2250 0.2427 0.6113
O: 0.2250 0.7573 0.1113
O: 0.2718 0.2558 0.9516
O: 0.2718 0.7442 0.4516
O: 0.2956 0.0691 0.2817
O: 0.2956 0.9309 0.7817
O: 0.5000 0.1285 0.7768
O: 0.5000 0.2760 0.1596
O: 0.5000 0.2968 0.3771
O: 0.5000 0.3677 0.7612
O: 0.5000 0.4720 0.9897
O: 0.5000 0.5280 0.4897
O: 0.5000 0.6323 0.2612
O: 0.5000 0.7032 0.8771
O: 0.5000 0.7240 0.6596
O: 0.5000 0.8715 0.2768
O: 0.7044 0.0691 0.2817
O: 0.7044 0.9309 0.7817
O: 0.7282 0.2558 0.9516
O: 0.7282 0.7442 0.4516
O: 0.7750 0.2427 0.6113
O: 0.7750 0.7573 0.1113
O: 0.7959 0.4308 0.2798
O: 0.7959 0.5692 0.7798

***

This entry pairs a crystal structure of AlFe2BO5 with its simulated X-ray diffraction stick pattern. Radiation: CuKα. Structure: a structure optimized by DFT (PBE+U).
No peak broadening, texture or thermal motion is included.

Peak list (10 most intense, 10 to 90 degrees two-theta, by intensity)
2θ = 34.61°, I 100
2θ = 35.52°, I 71
2θ = 18.35°, I 64
2θ = 47.21°, I 54
2θ = 62.24°, I 42
2θ = 42.06°, I 36
2θ = 38.64°, I 34
2θ = 32.42°, I 31
2θ = 38.52°, I 29
2θ = 57.65°, I 25

Structure:
Cell lengths 9.6687, 12.2785, 2.9645 Å; angles 90.00, 90.00, 90.00 degrees
Atoms (fractional coordinates):
Al: 0.2423 0.1159 0.0000
Al: 0.2577 0.6159 0.0000
Al: 0.7423 0.3841 0.0000
Al: 0.7577 0.8841 0.0000
Fe: 0.0000 0.0000 0.5000
Fe: 0.0000 0.5000 0.0000
Fe: 0.0043 0.7257 0.5000
Fe: 0.4957 0.2257 0.5000
Fe: 0.5000 0.0000 0.0000
Fe: 0.5000 0.5000 0.5000
Fe: 0.5043 0.7743 0.5000
Fe: 0.9957 0.2743 0.5000
B: 0.2372 0.8634 0.0000
B: 0.2628 0.3634 0.0000
B: 0.7372 0.6366 0.0000
B: 0.7628 0.1366 0.0000
O: 0.1188 0.1417 0.5000
O: 0.1201 0.3628 0.0000
O: 0.1310 0.5846 0.5000
O: 0.1635 0.9613 0.0000
O: 0.1688 0.7636 0.0000
O: 0.3312 0.2636 0.0000
O: 0.3365 0.4613 0.0000
O: 0.3690 0.0846 0.5000
O: 0.3799 0.8628 0.0000
O: 0.3812 0.6417 0.5000
O: 0.6188 0.3583 0.5000
O: 0.6201 0.1372 0.0000
O: 0.6310 0.9154 0.5000
O: 0.6635 0.5387 0.0000
O: 0.6688 0.7364 0.0000
O: 0.8312 0.2364 0.0000
O: 0.8365 0.0387 0.0000
O: 0.8690 0.4154 0.5000
O: 0.8799 0.6372 0.0000
O: 0.8812 0.8583 0.5000

***

This entry pairs a crystal structure of AlFeB2Pb2O8 with its simulated X-ray diffraction stick pattern. Radiation: CuKα. Structure: a structure optimized by DFT (PBE+U).
No peak broadening, texture or thermal motion is included.

Peak list (10 most intense, 10 to 90 degrees two-theta, by intensity)
2θ = 29.23°, I 100
2θ = 18.20°, I 66
2θ = 28.88°, I 46
2θ = 34.75°, I 39
2θ = 18.46°, I 38
2θ = 27.27°, I 35
2θ = 31.12°, I 32
2θ = 43.96°, I 28
2θ = 34.54°, I 28
2θ = 25.03°, I 27

Structure:
Cell lengths 5.9539, 7.1152, 10.1499 Å; angles 90.00, 125.04, 90.00 degrees
Atoms (fractional coordinates):
Al: 0.0000 0.0000 0.0000
Al: 0.0000 0.5000 0.5000
Fe: 0.5000 0.0000 0.0000
Fe: 0.5000 0.5000 0.5000
B: 0.0077 0.2265 0.2607
B: 0.0077 0.2735 0.7607
B: 0.9923 0.7265 0.2393
B: 0.9923 0.7735 0.7393
Pb: 0.3980 0.5676 0.1428
Pb: 0.3980 0.9324 0.6428
Pb: 0.6020 0.0676 0.3572
Pb: 0.6020 0.4324 0.8572
O: 0.1353 0.1726 0.1867
O: 0.1353 0.3274 0.6867
O: 0.1448 0.1717 0.9035
O: 0.1448 0.3283 0.4035
O: 0.2636 0.6744 0.3090
O: 0.2636 0.8256 0.8090
O: 0.3491 0.5993 0.6130
O: 0.3491 0.9007 0.1130
O: 0.6509 0.0993 0.8870
O: 0.6509 0.4007 0.3870
O: 0.7364 0.1744 0.1910
O: 0.7364 0.3256 0.6910
O: 0.8552 0.6717 0.5965
O: 0.8552 0.8283 0.0965
O: 0.8647 0.6726 0.3133
O: 0.8647 0.8274 0.8133

***

This entry pairs a crystal structure of MnAlB2Pb2O8 with its simulated X-ray diffraction stick pattern. Radiation: CuKα. Structure: a structure optimized by DFT (PBE+U).
No peak broadening, texture or thermal motion is included.

Peak list (10 most intense, 10 to 90 degrees two-theta, by intensity)
2θ = 34.66°, I 100
2θ = 17.90°, I 96
2θ = 29.43°, I 93
2θ = 28.60°, I 70
2θ = 31.34°, I 54
2θ = 18.54°, I 51
2θ = 25.52°, I 45
2θ = 27.69°, I 39
2θ = 29.84°, I 35
2θ = 29.62°, I 32

Structure:
Cell lengths 5.9933, 6.9817, 10.1115 Å; angles 90.00, 124.22, 90.00 degrees
Atoms (fractional coordinates):
Mn: 0.0000 0.0000 0.0000
Mn: 0.0000 0.5000 0.5000
Al: 0.5000 0.0000 0.0000
Al: 0.5000 0.5000 0.5000
B: 0.4957 0.2169 0.7366
B: 0.4957 0.2831 0.2366
B: 0.5043 0.7169 0.7634
B: 0.5043 0.7831 0.2634
Pb: 0.0984 0.5569 0.8575
Pb: 0.0984 0.9431 0.3575
Pb: 0.9016 0.0569 0.6425
Pb: 0.9016 0.4431 0.1425
O: 0.1527 0.6016 0.3925
O: 0.1527 0.8984 0.8925
O: 0.2322 0.6669 0.6896
O: 0.2322 0.8331 0.1896
O: 0.3646 0.1649 0.8091
O: 0.3646 0.3351 0.3091
O: 0.3680 0.1866 0.0926
O: 0.3680 0.3134 0.5926
O: 0.6320 0.6866 0.4074
O: 0.6320 0.8134 0.9074
O: 0.6354 0.6649 0.6909
O: 0.6354 0.8351 0.1909
O: 0.7678 0.1669 0.8104
O: 0.7678 0.3331 0.3104
O: 0.8473 0.1016 0.1075
O: 0.8473 0.3984 0.6075

***

This entry pairs a crystal structure of YMn2AlB2O8 with its simulated X-ray diffraction stick pattern. Radiation: CuKα. Structure: a structure optimized by DFT (PBE+U).
No peak broadening, texture or thermal motion is included.

Peak list (10 most intense, 10 to 90 degrees two-theta, by intensity)
2θ = 32.12°, I 100
2θ = 33.87°, I 45
2θ = 20.94°, I 39
2θ = 33.20°, I 33
2θ = 29.94°, I 24
2θ = 54.40°, I 24
2θ = 13.00°, I 22
2θ = 54.68°, I 15
2θ = 48.18°, I 14
2θ = 49.38°, I 14

Structure:
Cell lengths 3.3738, 9.8915, 9.9542 Å; angles 90.00, 109.35, 90.00 degrees
Atoms (fractional coordinates):
Y: 0.0000 0.1414 0.0000
Y: 0.0000 0.8586 0.5000
Mn: 0.2403 0.3531 0.7638
Mn: 0.2403 0.6469 0.2638
Mn: 0.4075 0.1697 0.4015
Mn: 0.4075 0.8303 0.9015
Al: 0.7012 0.3684 0.1633
Al: 0.7012 0.6316 0.6633
B: 0.7198 0.0640 0.7147
B: 0.7198 0.9360 0.2147
B: 0.8770 0.4185 0.4602
B: 0.8770 0.5815 0.9602
O: 0.2240 0.2794 0.2035
O: 0.2240 0.7206 0.7035
O: 0.4840 0.2833 0.9849
O: 0.4840 0.7167 0.4849
O: 0.5783 0.0156 0.5768
O: 0.5783 0.9844 0.0768
O: 0.7316 0.2002 0.7522
O: 0.7316 0.7998 0.2522
O: 0.7733 0.4834 0.3268
O: 0.7733 0.5166 0.8268
O: 0.8606 0.0267 0.3271
O: 0.8606 0.9733 0.8271
O: 0.8793 0.4822 0.5848
O: 0.8793 0.5178 0.0848
O: 0.9826 0.2841 0.4733
O: 0.9826 0.7159 0.9733

***

This entry pairs a crystal structure of AlNi2BO5 with its simulated X-ray diffraction stick pattern. Radiation: CuKα. Structure: a structure optimized by DFT (PBE+U).
No peak broadening, texture or thermal motion is included.

Peak list (10 most intense, 10 to 90 degrees two-theta, by intensity)
2θ = 35.43°, I 100
2θ = 19.14°, I 86
2θ = 39.30°, I 75
2θ = 36.31°, I 65
2θ = 48.42°, I 63
2θ = 63.30°, I 46
2θ = 43.23°, I 32
2θ = 63.74°, I 29
2θ = 32.95°, I 28
2θ = 63.62°, I 25

Structure:
Cell lengths 9.2740, 12.0988, 2.9251 Å; angles 90.00, 90.00, 90.00 degrees
Atoms (fractional coordinates):
Al: 0.2385 0.1139 0.0000
Al: 0.2615 0.6139 0.0000
Al: 0.7385 0.3861 0.0000
Al: 0.7615 0.8861 0.0000
Ni: 0.0000 0.0000 0.5000
Ni: 0.0000 0.5000 0.0000
Ni: 0.0018 0.7192 0.5000
Ni: 0.4982 0.2192 0.5000
Ni: 0.5000 0.0000 0.0000
Ni: 0.5000 0.5000 0.5000
Ni: 0.5018 0.7808 0.5000
Ni: 0.9982 0.2808 0.5000
B: 0.2301 0.8604 0.0000
B: 0.2699 0.3604 0.0000
B: 0.7301 0.6396 0.0000
B: 0.7699 0.1396 0.0000
O: 0.1155 0.1432 0.5000
O: 0.1214 0.3599 0.0000
O: 0.1270 0.5777 0.5000
O: 0.1548 0.9600 0.0000
O: 0.1587 0.7598 0.0000
O: 0.3413 0.2598 0.0000
O: 0.3452 0.4600 0.0000
O: 0.3730 0.0777 0.5000
O: 0.3786 0.8599 0.0000
O: 0.3845 0.6432 0.5000
O: 0.6155 0.3568 0.5000
O: 0.6214 0.1401 0.0000
O: 0.6270 0.9223 0.5000
O: 0.6548 0.5400 0.0000
O: 0.6587 0.7402 0.0000
O: 0.8413 0.2402 0.0000
O: 0.8452 0.0400 0.0000
O: 0.8730 0.4223 0.5000
O: 0.8786 0.6401 0.0000
O: 0.8845 0.8568 0.5000

***

Copy entry 6 word for word.
This entry pairs a crystal structure of AlNi2BO5 with its simulated X-ray diffraction stick pattern. Radiation: CuKα. Structure: a structure optimized by DFT (PBE+U).
No peak broadening, texture or thermal motion is included.

Peak list (10 most intense, 10 to 90 degrees two-theta, by intensity)
2θ = 35.43°, I 100
2θ = 19.14°, I 86
2θ = 39.30°, I 75
2θ = 36.31°, I 65
2θ = 48.42°, I 63
2θ = 63.30°, I 46
2θ = 43.23°, I 32
2θ = 63.74°, I 29
2θ = 32.95°, I 28
2θ = 63.62°, I 25

Structure:
Cell lengths 9.2740, 12.0988, 2.9251 Å; angles 90.00, 90.00, 90.00 degrees
Atoms (fractional coordinates):
Al: 0.2385 0.1139 0.0000
Al: 0.2615 0.6139 0.0000
Al: 0.7385 0.3861 0.0000
Al: 0.7615 0.8861 0.0000
Ni: 0.0000 0.0000 0.5000
Ni: 0.0000 0.5000 0.0000
Ni: 0.0018 0.7192 0.5000
Ni: 0.4982 0.2192 0.5000
Ni: 0.5000 0.0000 0.0000
Ni: 0.5000 0.5000 0.5000
Ni: 0.5018 0.7808 0.5000
Ni: 0.9982 0.2808 0.5000
B: 0.2301 0.8604 0.0000
B: 0.2699 0.3604 0.0000
B: 0.7301 0.6396 0.0000
B: 0.7699 0.1396 0.0000
O: 0.1155 0.1432 0.5000
O: 0.1214 0.3599 0.0000
O: 0.1270 0.5777 0.5000
O: 0.1548 0.9600 0.0000
O: 0.1587 0.7598 0.0000
O: 0.3413 0.2598 0.0000
O: 0.3452 0.4600 0.0000
O: 0.3730 0.0777 0.5000
O: 0.3786 0.8599 0.0000
O: 0.3845 0.6432 0.5000
O: 0.6155 0.3568 0.5000
O: 0.6214 0.1401 0.0000
O: 0.6270 0.9223 0.5000
O: 0.6548 0.5400 0.0000
O: 0.6587 0.7402 0.0000
O: 0.8413 0.2402 0.0000
O: 0.8452 0.0400 0.0000
O: 0.8730 0.4223 0.5000
O: 0.8786 0.6401 0.0000
O: 0.8845 0.8568 0.5000